Theoretical X-ray diffraction stick pattern of BaCuS2 for a wavelength of 1.5418 Å, from DFT lattice parameters and positions (PBE).

Main lines, by intensity (10° ≤ 2θ ≤ 90°):
two_theta	d [Å]	intensity
27.9	3.195	100
27.7	3.216	67
39.9	2.260	66
35.5	2.529	54
34.2	2.620	39
58.1	1.588	32
29.3	3.051	31
54.5	1.685	30
21.9	4.052	29
49.3	1.849	28

Crystal structure
```
8
Lattice="4.5191 0.0000 0.0000 0.0000 4.5191 0.0000 0.0000 0.0000 9.1531" Properties=species:S:1:pos:R:3 pbc="T T T"
Ba 1.1298 1.1298 1.7843
Ba 3.3893 3.3893 7.3688
Cu 1.1298 1.1298 5.4122
Cu 3.3893 3.3893 3.7410
S 1.1298 1.1298 7.7582
S 1.1298 3.3893 4.5766
S 3.3893 1.1298 4.5766
S 3.3893 3.3893 1.3950
```

***

Theoretical X-ray diffraction stick pattern of BaCu4S3 for a wavelength of 1.5418 Å, from DFT lattice parameters and positions (PBE).

Main lines, by intensity (10° ≤ 2θ ≤ 90°):
two_theta	d [Å]	intensity
30.4	2.945	100
30.5	2.928	95
42.6	2.122	76
35.3	2.541	67
38.6	2.332	61
21.3	4.166	57
45.8	1.981	52
52.3	1.750	39
37.4	2.405	35
24.9	3.578	34

Crystal structure
```
16
Lattice="1.9807 -7.2100 0.0000 1.9807 7.2100 0.0000 0.0000 0.0000 10.2076" Properties=species:S:1:pos:R:3 pbc="T T T"
Ba 1.9807 3.6573 7.6557
Ba 1.9807 -3.6573 2.5519
Cu 1.9807 7.1734 1.2965
Cu 1.9807 7.1734 3.8073
Cu 1.9807 1.3531 0.2294
Cu 1.9807 1.3531 4.8744
Cu 1.9807 -1.3531 5.3332
Cu 1.9807 -1.3531 9.9783
Cu 1.9807 -7.1734 6.4004
Cu 1.9807 -7.1734 8.9111
S 1.9807 5.0387 0.5188
S 1.9807 5.0387 4.5850
S 1.9807 0.8424 2.5519
S 1.9807 -0.8424 7.6557
S 1.9807 -5.0387 5.6226
S 1.9807 -5.0387 9.6889
```

***

Theoretical X-ray diffraction stick pattern of BaCuS2 for a wavelength of 1.5418 Å, from DFT lattice parameters and positions (PBE).

Main lines, by intensity (10° ≤ 2θ ≤ 90°):
two_theta	d [Å]	intensity
32.8	2.728	100
23.5	3.790	71
35.4	2.536	66
56.8	1.621	39
45.0	2.016	34
59.5	1.553	25
31.4	2.851	22
46.7	1.947	21
51.3	1.780	18
66.8	1.400	14

Crystal structure
```
8
Lattice="4.0313 0.0000 0.0000 0.0000 4.0313 0.0000 0.0000 0.0000 11.1145" Properties=species:S:1:pos:R:3 pbc="T T T"
Ba 0.0000 0.0000 0.0000
Ba 2.0157 2.0157 5.5573
Cu 0.0000 2.0157 2.7786
Cu 2.0157 0.0000 8.3359
S 0.0000 0.0000 3.9399
S 0.0000 0.0000 7.1746
S 2.0157 2.0157 1.6173
S 2.0157 2.0157 9.4972
```